[1]
Theoretical XRD peak list of Ta4BeGa for Cu Ka, from a structure optimized by DFT (PBE).
Intensities are scaled so that the largest is 100.

Cell and atoms:
abc: 6.1717 6.1717 5.0377
angles: 90.00 90.00 90.00
Atoms (fractional coordinates):
Ta1 0.1428 0.3252 0.0000
Ta2 0.1428 0.6748 0.5000
Ta3 0.3252 0.1428 0.5000
Ta4 0.3252 0.8572 0.0000
Ta5 0.6748 0.1428 0.0000
Ta6 0.6748 0.8572 0.5000
Ta7 0.8572 0.3252 0.5000
Ta8 0.8572 0.6748 0.0000
Be1 0.0000 0.0000 0.2500
Be2 0.0000 0.0000 0.7500
Ga1 0.5000 0.5000 0.2500
Ga2 0.5000 0.5000 0.7500

Principal peaks in the range 10 to 90 degrees two-theta, sorted by position:
2θ 35.64, intensity 19.5
2θ 37.14, intensity 100.0
2θ 46.54, intensity 30.8
2θ 65.01, intensity 31.0
2θ 75.47, intensity 14.9
2θ 87.24, intensity 14.2


[2]
Theoretical XRD peak list of Ho3Tm3Co4 for Cu Ka, from a structure optimized by DFT (PBE).
Intensities are scaled so that the largest is 100.

Cell and atoms:
abc: 4.1300 7.1158 7.1158
angles: 89.92 90.00 90.00
Atoms (fractional coordinates):
Ho1 0.0000 0.0000 0.0000
Ho2 0.5000 0.3287 0.8285
Ho3 0.5000 0.8285 0.3287
Tm1 0.0000 0.1566 0.5007
Tm2 0.0000 0.5007 0.1566
Tm3 0.0000 0.6551 0.6551
Co1 0.5000 0.2184 0.2184
Co2 0.5000 0.4425 0.4425
Co3 0.5000 0.7139 0.9389
Co4 0.5000 0.9389 0.7139

Principal peaks in the range 10 to 90 degrees two-theta, sorted by position:
2θ 27.97, intensity 32.8
2θ 33.24, intensity 71.9
2θ 35.62, intensity 100.0
2θ 40.07, intensity 42.7
2θ 43.84, intensity 23.6
2θ 60.89, intensity 24.8